This entry pairs a crystal structure of LaSiRh with its theoretical powder diffraction line list. Radiation: Cu Kα. Structure: a DFT-relaxed cell (PBE, the Materials Project).
Kinematic intensities with the Lorentz-polarization factor, no thermal factor.

Atomic structure:
abc: 6.421 6.421 6.421
angles: 90.00 90.00 90.00
Fractional positions:
La1 0.134 0.134 0.134
La2 0.366 0.866 0.634
La3 0.634 0.366 0.866
La4 0.866 0.634 0.366
Si1 0.162 0.338 0.662
Si2 0.338 0.662 0.162
Si3 0.662 0.162 0.338
Si4 0.838 0.838 0.838
Rh1 0.077 0.577 0.923
Rh2 0.423 0.423 0.423
Rh3 0.577 0.923 0.077
Rh4 0.923 0.077 0.577

Peak list (6 most intense, 10 to 80 degrees two-theta, sorted by position)
2θ = 24.01°, d = 3.707 Å, rel. 135
2θ = 31.15°, d = 2.871 Å, rel. 1000
2θ = 34.21°, d = 2.621 Å, rel. 707
2θ = 46.94°, d = 1.936 Å, rel. 181
2θ = 53.39°, d = 1.716 Å, rel. 426
2θ = 66.77°, d = 1.401 Å, rel. 169